Record 1
This entry pairs a crystal structure of Zr19O40 with its theoretical powder XRD pattern. Radiation: copper Kα. Structure: the GGA-PBE geometry in the Materials Project.
Lines closer than 0.1° are merged.

Crystal structure
```
Zr19O40
1.0
8.165 0.000 0.000
0.004 8.171 0.000
3.279 1.662 10.544
Zr O
19 40
Cartesian
0.000 0.000 0.000
8.980 2.431 2.622
3.268 1.635 5.252
2.452 7.357 2.627
4.925 6.568 10.528
4.132 4.078 7.848
5.715 8.959 7.943
4.908 6.494 5.295
4.098 4.088 2.643
6.587 3.294 10.503
8.125 8.158 10.515
5.708 0.825 2.635
6.531 3.279 5.269
9.768 4.925 10.533
8.990 2.509 7.939
8.171 8.166 5.282
7.363 5.722 2.619
9.772 4.979 5.294
10.576 7.372 7.871
3.266 5.742 9.522
1.629 0.815 4.223
0.810 6.526 1.043
2.456 3.302 6.255
1.603 0.787 1.584
3.266 5.729 6.877
4.040 8.212 8.944
2.473 3.231 3.616
3.269 5.716 4.209
4.930 2.457 9.498
2.420 3.241 1.010
4.080 8.154 6.292
4.871 2.402 6.848
3.256 5.698 1.573
5.616 4.886 9.068
4.065 8.193 3.661
6.459 7.496 9.490
4.902 2.460 4.207
5.581 4.813 6.290
4.079 8.155 1.040
4.883 2.456 1.560
6.494 7.450 6.725
7.354 1.651 8.933
5.733 4.911 3.686
6.512 7.383 4.239
8.254 3.983 9.487
5.714 4.907 1.075
7.352 1.643 6.309
6.562 7.371 1.631
8.208 4.012 6.720
7.341 1.640 3.671
9.090 6.598 9.103
9.784 9.018 9.542
8.189 4.067 4.232
7.340 1.637 1.022
9.118 6.645 6.313
8.160 4.082 1.616
9.835 9.053 6.876
8.973 6.536 3.696
10.671 3.256 8.919
```

Main lines, sorted by position (5° ≤ 2θ ≤ 70°):
2θ/deg, I (rel.)
29.76, 1000
34.01, 84
34.73, 128
49.36, 189
49.44, 187
49.93, 202
58.21, 71
58.31, 70
59.18, 134
59.25, 134


Record 2
This entry pairs a crystal structure of Y2CuRu with its theoretical powder XRD pattern. Radiation: copper Kα. Structure: the GGA-PBE geometry in the Materials Project.
Lines closer than 0.1° are merged.

Crystal structure
```
Y2CuRu
1.0
0.000 3.445 3.445
3.445 0.000 3.445
3.445 3.445 0.000
Y Cu Ru
2 1 1
Cartesian
1.723 1.723 1.723
5.168 5.168 5.168
0.000 0.000 0.000
3.445 3.445 3.445
```

Main lines, sorted by position (5° ≤ 2θ ≤ 70°):
2θ/deg, I (rel.)
22.35, 23
36.90, 1000
43.56, 12
53.17, 169
58.38, 5
66.48, 335


Record 3
This entry pairs a crystal structure of Mg16ZrAl12 with its theoretical powder XRD pattern. Radiation: copper Kα. Structure: the GGA-PBE geometry in the Materials Project.
Lines closer than 0.1° are merged.

Crystal structure
```
Mg16ZrAl12
1.0
5.274 -7.470 0.000
5.274 7.470 0.000
-5.064 0.000 7.390
Mg Zr Al
16 1 12
Cartesian
0.000 0.000 0.000
1.967 3.015 0.289
-0.153 5.085 5.522
-1.744 0.000 2.637
1.740 4.925 2.681
-0.129 2.361 7.069
2.078 2.943 4.946
0.119 0.000 5.210
3.984 2.154 2.582
1.967 -3.015 0.289
3.161 0.000 4.681
-0.129 -2.361 7.069
1.740 -4.925 2.681
-0.153 -5.085 5.522
3.984 -2.154 2.582
2.078 -2.943 4.946
3.005 0.000 0.546
-0.733 2.736 3.943
-2.603 1.371 5.376
4.451 4.771 1.225
1.196 1.335 2.579
-2.603 -1.371 5.376
-0.733 -2.736 3.943
1.196 -1.335 2.579
5.795 0.000 1.257
2.732 1.378 7.307
4.451 -4.771 1.225
5.974 0.000 3.949
2.732 -1.378 7.307
```

Main lines, sorted by position (5° ≤ 2θ ≤ 70°):
2θ/deg, I (rel.)
11.80, 243
12.00, 181
34.13, 169
35.83, 427
36.10, 1000
36.30, 351
36.53, 691
36.58, 257
39.75, 176
39.99, 292